Starting from the GGA+U geometry in Alexandria, the powder XRD pattern of MnCrIn2O6 was simulated for CuKα.

Largest 8 diffraction maxima, sorted by position, 2θ = 5–70°:
3.808 Å, 2θ 23.36, rel. 96, hkl 1 1 1
2.861 Å, 2θ 31.27, rel. 100, hkl 1 0 1
2.820 Å, 2θ 31.73, rel. 94, hkl 1 1 -1
2.758 Å, 2θ 32.46, rel. 85, hkl 0 1 2
2.721 Å, 2θ 32.92, rel. 87, hkl -1 1 1
2.683 Å, 2θ 33.40, rel. 79, hkl 1 2 1
2.632 Å, 2θ 34.07, rel. 77, hkl 2 1 0
1.904 Å, 2θ 47.77, rel. 71, hkl 2 0 -2

Crystal structure
Unit cell a=5.2644 b=5.3747 c=5.5313 alpha=62.60 beta=89.98 gamma=61.63
Element x y z (fractional)
Mn 0.0000 0.0000 0.0000
Cr 0.5035 0.9922 0.5077
In 0.2136 0.5667 0.6383
In 0.7185 0.5582 0.1443
O 0.1299 0.0841 0.2854
O 0.2807 0.0843 0.7933
O 0.3929 0.4621 0.3071
O 0.6201 0.5109 0.7811
O 0.7884 0.8348 0.2887
O 0.8808 0.8346 0.7950